Diffraction record for Ca6CuN. The PXRD pattern is theoretical, not measured: it uses a DFT-relaxed cell (PBE, Alexandria) and Cu Kα.

Most intense lines, 2θ from 10° to 90°, by angle:
- 15.50°, intensity 38
- 18.27°, intensity 38
- 27.05°, intensity 17
- 27.18°, intensity 14
- 28.22°, intensity 17
- 28.75°, intensity 51
- 32.34°, intensity 100
- 33.41°, intensity 39
- 34.12°, intensity 15
- 46.52°, intensity 23
- 47.72°, intensity 15
- 47.85°, intensity 30

Atomic structure:
```
Ca6CuN
1.0
6.8343 0.0000 0.0000
0.0000 11.4352 0.0000
-1.8400 0.0000 6.3253
Ca Cu N
12 2 2
Cartesian
0.9121 1.7500 1.5061
0.9121 9.6852 1.5061
0.2260 0.0000 5.0303
1.3512 5.7176 1.2949
0.6650 3.9676 4.8191
0.6650 7.4676 4.8191
4.3292 3.9676 1.5061
4.3292 7.4676 1.5061
3.6431 5.7176 5.0303
4.7683 0.0000 1.2949
4.0822 1.7500 4.8191
4.0822 9.6852 4.8191
-0.9200 5.7176 3.1626
2.4971 0.0000 3.1626
0.0000 0.0000 0.0000
3.4171 5.7176 0.0000
```



Diffraction record for Ca5Cu2N4. The PXRD pattern is theoretical, not measured: it uses a DFT-relaxed cell (PBE, Alexandria) and Cu Kα.

Most intense lines, 2θ from 10° to 90°, by angle:
- 15.65°, intensity 23
- 25.89°, intensity 21
- 28.77°, intensity 16
- 33.07°, intensity 100
- 35.45°, intensity 56
- 36.20°, intensity 14
- 43.74°, intensity 15
- 48.21°, intensity 10
- 51.55°, intensity 12
- 57.51°, intensity 11
- 66.85°, intensity 14
- 67.11°, intensity 10

Atomic structure:
```
Ca5Cu2N4
1.0
8.0084 0.0000 0.0000
0.0000 8.0084 0.0000
0.0000 0.0000 12.4183
Ca Cu N
20 8 16
Cartesian
0.6207 5.0705 1.1134
0.6207 6.9420 7.3226
1.0663 4.6249 5.0958
1.0663 7.3876 11.3049
2.0021 2.0021 1.7098
2.0021 2.0021 7.9190
2.9378 4.6249 11.3049
2.9378 7.3876 5.0958
3.3834 5.0705 7.3226
3.3834 6.9420 1.1134
4.6249 1.0663 11.3049
4.6249 2.9378 5.0958
5.0705 0.6207 7.3226
5.0705 3.3834 1.1134
6.0063 6.0063 4.4994
6.0063 6.0063 10.7085
6.9420 0.6207 1.1134
6.9420 3.3834 7.3226
7.3876 1.0663 5.0958
7.3876 2.9378 11.3049
0.7411 4.7452 9.3137
0.7411 7.2673 3.1046
3.2631 4.7452 3.1046
3.2631 7.2673 9.3137
4.7452 0.7411 3.1046
4.7452 3.2631 9.3137
7.2673 0.7411 9.3137
7.2673 3.2631 3.1046
0.4137 5.0996 11.1210
0.4137 6.9130 4.9118
1.0954 4.4179 7.5065
1.0954 7.5947 1.2973
2.9088 4.4179 1.2973
2.9088 7.5947 7.5065
3.5905 5.0996 4.9118
3.5905 6.9130 11.1210
4.4179 1.0954 1.2973
4.4179 2.9088 7.5065
5.0996 0.4137 4.9118
5.0996 3.5905 11.1210
6.9130 0.4137 11.1210
6.9130 3.5905 4.9118
7.5947 1.0954 7.5065
7.5947 2.9088 1.2973
```



Diffraction record for CaNdCuN2. The PXRD pattern is theoretical, not measured: it uses a DFT-relaxed cell (PBE, Alexandria) and Cu Kα.

Most intense lines, 2θ from 10° to 90°, by angle:
- 17.74°, intensity 67
- 24.05°, intensity 31
- 31.40°, intensity 33
- 32.55°, intensity 27
- 35.92°, intensity 21
- 36.29°, intensity 100
- 37.31°, intensity 21
- 48.44°, intensity 20
- 49.25°, intensity 24
- 55.14°, intensity 12
- 60.54°, intensity 22
- 64.80°, intensity 17

Atomic structure:
```
CaNdCuN2
1.0
5.0004 0.0000 0.0000
0.0000 5.5017 0.0000
0.0000 0.0000 6.6609
Ca Nd Cu N
2 2 2 4
Cartesian
0.0000 0.0000 1.6652
0.0000 0.0000 4.9957
2.5002 2.7509 1.6652
2.5002 2.7509 4.9957
2.5002 0.0000 0.0000
2.5002 0.0000 3.3304
1.2991 1.4141 0.0000
1.2991 4.0876 3.3304
3.7013 1.4141 3.3304
3.7013 4.0876 0.0000
```



Diffraction record for Ca3Np3CuN8. The PXRD pattern is theoretical, not measured: it uses a DFT-relaxed cell (PBE, Alexandria) and Cu Kα.

Most intense lines, 2θ from 10° to 90°, by angle:
- 15.80°, intensity 100
- 30.13°, intensity 21
- 31.57°, intensity 34
- 31.93°, intensity 52
- 32.72°, intensity 48
- 36.32°, intensity 29
- 38.08°, intensity 50
- 40.97°, intensity 16
- 53.64°, intensity 36
- 55.94°, intensity 16
- 64.52°, intensity 16
- 65.90°, intensity 14

Atomic structure:
```
Ca3Np3CuN8
1.0
6.5720 0.0000 0.0000
-0.0045 6.8015 0.0000
-3.2818 -3.3947 4.9471
Ca Np Cu N
3 3 1 8
Cartesian
0.0000 0.0000 0.0000
-1.6409 -1.6973 2.4736
3.2860 0.0000 0.0000
-0.0023 3.4007 0.0000
3.2837 3.4007 0.0000
1.6428 1.7034 2.4736
-1.6432 1.7034 2.4736
-0.0161 3.1102 2.3060
1.6435 1.8079 0.0656
1.6344 4.7703 0.1359
-0.0124 0.2926 2.6450
3.2980 3.1142 2.3021
1.6512 -1.3635 4.8113
1.6421 1.5990 4.8815
3.3018 0.2966 2.6411
```



Diffraction record for CaTbCuN2. The PXRD pattern is theoretical, not measured: it uses a DFT-relaxed cell (PBE, Alexandria) and Cu Kα.

Most intense lines, 2θ from 10° to 90°, by angle:
- 17.38°, intensity 78
- 24.22°, intensity 36
- 32.39°, intensity 33
- 33.85°, intensity 26
- 35.18°, intensity 23
- 36.99°, intensity 100
- 38.29°, intensity 21
- 48.57°, intensity 23
- 49.62°, intensity 25
- 62.64°, intensity 26
- 64.32°, intensity 19
- 78.76°, intensity 12

Atomic structure:
```
CaTbCuN2
1.0
5.1018 0.0000 0.0000
0.0000 5.2963 0.0000
0.0000 0.0000 6.4805
Ca Tb Cu N
2 2 2 4
Cartesian
0.0000 0.0000 1.6201
0.0000 0.0000 4.8604
2.5509 2.6481 1.6201
2.5509 2.6481 4.8604
2.5509 0.0000 0.0000
2.5509 0.0000 3.2403
1.3554 1.4148 0.0000
1.3554 3.8815 3.2403
3.7464 1.4148 3.2403
3.7464 3.8815 0.0000
```



Diffraction record for Na2CaCu. The PXRD pattern is theoretical, not measured: it uses a DFT-relaxed cell (PBE, Alexandria) and Cu Kα.

Most intense lines, 2θ from 10° to 90°, by angle:
- 20.43°, intensity 6
- 23.63°, intensity 19
- 33.66°, intensity 100
- 39.69°, intensity 4
- 41.54°, intensity 5
- 48.34°, intensity 17
- 54.49°, intensity 7
- 60.20°, intensity 33
- 70.77°, intensity 10
- 75.79°, intensity 3
- 80.69°, intensity 13
- 85.53°, intensity 2

Atomic structure:
```
Na2CaCu
1.0
7.5310 0.0000 0.0000
0.0000 7.5310 0.0000
0.0000 0.0000 7.5310
Na Ca Cu
8 4 4
Cartesian
1.8828 1.8828 1.8828
1.8828 1.8828 5.6483
1.8828 5.6483 1.8828
1.8828 5.6483 5.6483
5.6483 1.8828 1.8828
5.6483 1.8828 5.6483
5.6483 5.6483 1.8828
5.6483 5.6483 5.6483
0.0000 0.0000 0.0000
0.0000 3.7655 3.7655
3.7655 0.0000 3.7655
3.7655 3.7655 0.0000
0.0000 0.0000 3.7655
0.0000 3.7655 0.0000
3.7655 0.0000 0.0000
3.7655 3.7655 3.7655
```



Diffraction record for Ca2Nb2CuO8. The PXRD pattern is theoretical, not measured: it uses a DFT-relaxed cell (PBE, Alexandria) and Cu Kα.

Most intense lines, 2θ from 10° to 90°, by angle:
- 13.74°, intensity 100
- 24.48°, intensity 44
- 25.68°, intensity 27
- 26.02°, intensity 30
- 26.73°, intensity 35
- 30.59°, intensity 79
- 30.79°, intensity 49
- 32.21°, intensity 53
- 32.71°, intensity 44
- 36.78°, intensity 53
- 46.34°, intensity 26
- 57.17°, intensity 28

Atomic structure:
```
Ca2Nb2CuO8
1.0
9.5636 -3.4249 0.0000
9.5636 3.4249 0.0000
-0.3543 0.0000 5.4761
Ca Nb Cu O
4 4 2 16
Cartesian
3.8300 1.1672 1.3402
3.6529 -1.1672 4.0783
15.1201 1.1672 1.3978
14.9429 -1.1672 4.1359
7.1638 0.9535 1.3999
11.7863 0.9535 1.3382
6.9867 -0.9535 4.1379
11.6091 -0.9535 4.0762
9.2979 1.5922 4.1071
9.4751 -1.5922 1.3690
3.2752 1.0597 4.5259
8.3211 1.8754 2.5043
5.7499 0.4310 2.7963
7.6460 0.9327 5.0221
10.6290 1.8754 0.2338
3.4524 -1.0597 1.7879
5.9271 -0.4310 0.0582
10.9498 0.9327 3.1921
7.8232 -0.9327 2.2841
12.8459 0.4310 5.4179
15.3206 1.0597 3.6882
8.1440 -1.8754 5.2424
11.1270 -0.9327 0.4540
13.0230 -0.4310 2.6798
10.4518 -1.8754 2.9718
15.4978 -1.0597 0.9502
```



Diffraction record for CaNd4Cu4. The PXRD pattern is theoretical, not measured: it uses a DFT-relaxed cell (PBE, Alexandria) and Cu Kα.

Most intense lines, 2θ from 10° to 90°, by angle:
- 13.39°, intensity 54
- 26.49°, intensity 42
- 30.23°, intensity 100
- 33.03°, intensity 61
- 34.21°, intensity 25
- 38.17°, intensity 25
- 38.37°, intensity 22
- 43.15°, intensity 29
- 43.28°, intensity 33
- 47.53°, intensity 29
- 51.46°, intensity 17
- 51.62°, intensity 18

Atomic structure:
```
CaNd4Cu4
1.0
9.3495 0.0000 0.0000
0.0000 9.3495 0.0000
0.0000 0.0000 5.6675
Ca Nd Cu
2 8 8
Cartesian
2.3374 2.3374 1.4169
7.0121 7.0121 4.2506
0.7489 6.2033 0.8215
1.5285 8.6006 3.6552
3.1462 5.4237 3.6552
3.9258 7.8210 0.8215
5.4237 1.5285 4.8460
6.2033 3.9258 2.0123
7.8210 0.7489 2.0123
8.6006 3.1462 4.8460
0.1946 5.6534 3.5914
0.9786 9.1549 0.7577
3.6961 4.8693 0.7577
4.4802 8.3709 3.5914
4.8693 0.9786 2.0761
5.6534 4.4802 4.9098
8.3709 0.1946 4.9098
9.1549 3.6961 2.0761
```



> What is the formula in the fifth record?

CaTbCuN2



Please write out number 1 again, unchanged.
Diffraction record for Ca6CuN. The PXRD pattern is theoretical, not measured: it uses a DFT-relaxed cell (PBE, Alexandria) and Cu Kα.

Most intense lines, 2θ from 10° to 90°, by angle:
- 15.50°, intensity 38
- 18.27°, intensity 38
- 27.05°, intensity 17
- 27.18°, intensity 14
- 28.22°, intensity 17
- 28.75°, intensity 51
- 32.34°, intensity 100
- 33.41°, intensity 39
- 34.12°, intensity 15
- 46.52°, intensity 23
- 47.72°, intensity 15
- 47.85°, intensity 30

Atomic structure:
```
Ca6CuN
1.0
6.8343 0.0000 0.0000
0.0000 11.4352 0.0000
-1.8400 0.0000 6.3253
Ca Cu N
12 2 2
Cartesian
0.9121 1.7500 1.5061
0.9121 9.6852 1.5061
0.2260 0.0000 5.0303
1.3512 5.7176 1.2949
0.6650 3.9676 4.8191
0.6650 7.4676 4.8191
4.3292 3.9676 1.5061
4.3292 7.4676 1.5061
3.6431 5.7176 5.0303
4.7683 0.0000 1.2949
4.0822 1.7500 4.8191
4.0822 9.6852 4.8191
-0.9200 5.7176 3.1626
2.4971 0.0000 3.1626
0.0000 0.0000 0.0000
3.4171 5.7176 0.0000
```